K2NaAl3F12: theoretical PXRD pattern (λ = 1.5418 Å (Cu Kα)), based on a GGA-PBE-relaxed structure.
Neutral-atom scattering factors, no anomalous dispersion.

Cell and atoms:
```
K2NaAl3F12
1.0
7.048 0.000 0.000
0.000 7.086 0.000
-0.030 0.000 9.810
K Na Al F
4 2 6 24
direct
0.014 0.250 0.105
0.465 0.250 0.358
0.535 0.750 0.642
0.986 0.750 0.895
0.209 0.750 0.241
0.791 0.250 0.759
0.000 0.000 0.500
0.000 0.500 0.500
0.308 0.250 0.719
0.500 0.000 0.000
0.500 0.500 0.000
0.692 0.750 0.281
0.079 0.750 0.498
0.104 0.250 0.822
0.134 0.040 0.349
0.134 0.460 0.349
0.212 0.062 0.605
0.212 0.438 0.605
0.262 0.543 0.051
0.262 0.957 0.051
0.418 0.060 0.826
0.418 0.440 0.826
0.474 0.250 0.058
0.480 0.750 0.379
0.520 0.250 0.621
0.526 0.750 0.942
0.582 0.560 0.174
0.582 0.940 0.174
0.738 0.043 0.949
0.738 0.457 0.949
0.788 0.562 0.395
0.788 0.938 0.395
0.866 0.540 0.651
0.866 0.960 0.651
0.896 0.750 0.178
0.921 0.250 0.502
```

Principal peaks in the range 10° ≤ 2θ ≤ 90°, most intense first:
| 2θ/deg | I (rel.) | (hkl) |
| --- | --- | --- |
| 29.66 | 100 | 1 2 1 |
| 15.46 | 56 | 1 0 -1 |
| 30.12 | 48 | 1 0 3 |
| 29.77 | 29 | 2 1 1 |
| 39.63 | 26 | 1 2 3 |
| 31.16 | 22 | 0 2 2 |